Entry 1:
The following is a simulated XRD peak list of Ta3VB6. It was derived from DFT lattice parameters and positions (PBE), using λ = 1.5418 Å (Cu Kα).
Peak positions follow from Bragg's law for the DFT cell and can differ from measured ones.

Structural model:
```
data_Ta3VB6
_chemical_formula_sum 'Ta18 V6 B36'
_symmetry_space_group_name_H-M 'R -3 c'
_symmetry_Int_Tables_number 167
_symmetry_space_group_name_Hall '-R 3 2"c'
_cell_length_a 8.9937
_cell_length_b 8.9937
_cell_length_c 8.7285
_cell_angle_alpha 90.00
_cell_angle_beta 90.00
_cell_angle_gamma 120.00
loop_
_atom_site_label
_atom_site_fract_x
_atom_site_fract_y
_atom_site_fract_z
Ta1 0.0000 0.4444 0.2500
V1 0.0000 0.0000 0.0000
B1 0.0720 0.2292 0.3283
```

Largest 10 diffraction maxima, by angle, 2θ from 10° to 80°:
19.74°, I = 48
23.36°, I = 50
30.77°, I = 100
32.09°, I = 47
36.80°, I = 75
40.10°, I = 44
43.14°, I = 100
46.93°, I = 38
47.78°, I = 59
70.70°, I = 40

---

Entry 2:
The following is a simulated XRD peak list of Pr4Sm4Ho. It was derived from DFT lattice parameters and positions (PBE), using λ = 1.5418 Å (Cu Kα).
Peak positions follow from Bragg's law for the DFT cell and can differ from measured ones.

Structural model:
```
data_Pr4Sm4Ho
_chemical_formula_sum 'Pr4 Sm4 Ho1'
_symmetry_space_group_name_H-M 'P -1'
_symmetry_Int_Tables_number 2
_cell_length_a 5.1789
_cell_length_b 8.1645
_cell_length_c 8.1743
_cell_angle_alpha 107.57
_cell_angle_beta 90.04
_cell_angle_gamma 108.42
loop_
_symmetry_equiv_pos_as_xyz
'x,y,z'
'-x,-y,-z'
loop_
_atom_site_label
_atom_site_fract_x
_atom_site_fract_y
_atom_site_fract_z
Pr1 0.1649 0.3301 0.0005
Pr2 0.2782 0.5567 0.6664
Sm1 0.0547 0.1095 0.3341
Sm2 0.3902 0.7804 0.3320
Ho1 0.5000 0.0000 0.0000
```

Largest 10 diffraction maxima, by angle, 2θ from 10° to 80°:
29.94°, I = 100
34.69°, I = 34
34.74°, I = 17
49.87°, I = 30
50.01°, I = 6
59.24°, I = 22
59.36°, I = 18
62.15°, I = 6
62.27°, I = 6
73.32°, I = 4

---

Entry 3:
The following is a simulated XRD peak list of Er3Sc2Ga2. It was derived from DFT lattice parameters and positions (PBE), using λ = 1.5418 Å (Cu Kα).
Peak positions follow from Bragg's law for the DFT cell and can differ from measured ones.

Structural model:
```
data_Er3Sc2Ga2
_chemical_formula_sum 'Er6 Sc4 Ga4'
_symmetry_space_group_name_H-M 'C 1 2/m 1'
_symmetry_Int_Tables_number 12
_cell_length_a 12.9043
_cell_length_b 3.5202
_cell_length_c 8.3881
_cell_angle_alpha 90.00
_cell_angle_beta 114.17
_cell_angle_gamma 90.00
loop_
_symmetry_equiv_pos_as_xyz
'x,y,z'
'-x,-y,-z'
'-x,y,-z'
'x,-y,z'
'x+1/2,y+1/2,z'
'-x+1/2,-y+1/2,-z'
'-x+1/2,y+1/2,-z'
'x+1/2,-y+1/2,z'
loop_
_atom_site_label
_atom_site_fract_x
_atom_site_fract_y
_atom_site_fract_z
Er1 0.0000 0.0000 0.0000
Er2 0.1103 0.0000 0.4380
Sc1 0.1430 0.5000 0.8128
Ga1 0.1928 0.5000 0.2091
```

Largest 10 diffraction maxima, by angle, 2θ from 10° to 80°:
14.76°, I = 41
26.43°, I = 49
27.66°, I = 34
32.02°, I = 39
32.72°, I = 46
32.96°, I = 100
35.90°, I = 49
37.56°, I = 72
41.82°, I = 26
51.99°, I = 42

---

Entry 4:
The following is a simulated XRD peak list of AlFeMo2. It was derived from DFT lattice parameters and positions (PBE), using λ = 1.5418 Å (Cu Kα).
Peak positions follow from Bragg's law for the DFT cell and can differ from measured ones.

Structural model:
```
data_AlFeMo2
_chemical_formula_sum 'Al1 Fe1 Mo2'
_symmetry_space_group_name_H-M 'P 4 m m'
_symmetry_Int_Tables_number 99
_cell_length_a 2.7588
_cell_length_b 2.7588
_cell_length_c 7.3661
_cell_angle_alpha 90.00
_cell_angle_beta 90.00
_cell_angle_gamma 90.00
loop_
_symmetry_equiv_pos_as_xyz
'x,y,z'
'-y,x,z'
'-x,-y,z'
'y,-x,z'
'-x,y,z'
'y,x,z'
'x,-y,z'
'-y,-x,z'
loop_
_atom_site_label
_atom_site_fract_x
_atom_site_fract_y
_atom_site_fract_z
Al1 0.0000 0.0000 0.0000
Fe1 0.5000 0.5000 0.2013
Mo1 0.0000 0.0000 0.4239
Mo2 0.5000 0.5000 0.7289
```

Largest 10 diffraction maxima, by angle, 2θ from 10° to 80°:
12.01°, I = 21
34.72°, I = 26
36.60°, I = 11
40.87°, I = 100
46.56°, I = 38
49.50°, I = 10
60.63°, I = 10
67.96°, I = 12
70.30°, I = 13
72.77°, I = 8

---

Entry 5:
The following is a simulated XRD peak list of Rb2GaBi2Pb. It was derived from DFT lattice parameters and positions (PBE), using λ = 1.5418 Å (Cu Kα).
Peak positions follow from Bragg's law for the DFT cell and can differ from measured ones.

Structural model:
```
data_Rb2GaBi2Pb
_chemical_formula_sum 'Rb8 Ga4 Bi8 Pb4'
_symmetry_space_group_name_H-M 'I b a m'
_symmetry_Int_Tables_number 72
_symmetry_space_group_name_Hall '-I 2 2c'
_cell_length_a 7.9312
_cell_length_b 16.2608
_cell_length_c 7.6509
_cell_angle_alpha 90.00
_cell_angle_beta 90.00
_cell_angle_gamma 90.00
loop_
_atom_site_label
_atom_site_fract_x
_atom_site_fract_y
_atom_site_fract_z
Rb1 0.2392 0.1657 0.0000
Ga1 0.0000 0.0000 0.2500
Bi1 0.2238 0.0916 0.5000
Pb1 0.0000 0.5000 0.2500
```

Largest 10 diffraction maxima, by angle, 2θ from 10° to 80°:
10.88°, I = 100
19.47°, I = 41
27.27°, I = 80
31.52°, I = 54
32.13°, I = 54
32.52°, I = 89
34.38°, I = 38
43.41°, I = 23
47.69°, I = 28
58.15°, I = 22

---

Entry 6:
The following is a simulated XRD peak list of Hf3In2Se6. It was derived from DFT lattice parameters and positions (PBE), using λ = 1.5418 Å (Cu Kα).
Peak positions follow from Bragg's law for the DFT cell and can differ from measured ones.

Structural model:
```
data_Hf3In2Se6
_chemical_formula_sum 'Hf6 In4 Se12'
_symmetry_space_group_name_H-M 'C 1 2/m 1'
_symmetry_Int_Tables_number 12
_cell_length_a 6.4673
_cell_length_b 11.2072
_cell_length_c 8.4026
_cell_angle_alpha 90.00
_cell_angle_beta 105.02
_cell_angle_gamma 90.00
loop_
_symmetry_equiv_pos_as_xyz
'x,y,z'
'-x,-y,-z'
'-x,y,-z'
'x,-y,z'
'x+1/2,y+1/2,z'
'-x+1/2,-y+1/2,-z'
'-x+1/2,y+1/2,-z'
'x+1/2,-y+1/2,z'
loop_
_atom_site_label
_atom_site_fract_x
_atom_site_fract_y
_atom_site_fract_z
Hf1 0.0000 0.0000 0.0000
Hf2 0.0000 0.3316 0.0000
In1 0.0000 0.1662 0.5000
Se1 0.2342 0.1667 0.2011
Se2 0.2340 0.5000 0.1998
```

Largest 10 diffraction maxima, by angle, 2θ from 10° to 80°:
10.90°, I = 52
21.90°, I = 8
28.55°, I = 7
31.32°, I = 100
37.99°, I = 15
40.71°, I = 40
44.66°, I = 7
48.77°, I = 31
50.13°, I = 7
59.11°, I = 16

---

Entry 7:
The following is a simulated XRD peak list of Co2CuTc. It was derived from DFT lattice parameters and positions (PBE), using λ = 1.5418 Å (Cu Kα).
Peak positions follow from Bragg's law for the DFT cell and can differ from measured ones.

Structural model:
```
data_Co2CuTc
_chemical_formula_sum 'Co4 Cu2 Tc2'
_symmetry_space_group_name_H-M 'C m m m'
_symmetry_Int_Tables_number 65
_symmetry_space_group_name_Hall '-C 2 2'
_cell_length_a 5.1983
_cell_length_b 7.2507
_cell_length_c 2.5675
_cell_angle_alpha 90.00
_cell_angle_beta 90.00
_cell_angle_gamma 90.00
loop_
_atom_site_label
_atom_site_fract_x
_atom_site_fract_y
_atom_site_fract_z
Co1 0.2500 0.2500 0.0000
Cu1 0.0000 0.0000 0.5000
Tc1 0.0000 0.5000 0.5000
```

Largest 10 diffraction maxima, by angle, 2θ from 10° to 80°:
21.03°, I = 8
24.56°, I = 5
41.16°, I = 4
42.81°, I = 100
43.18°, I = 97
49.93°, I = 62
50.34°, I = 30
72.77°, I = 9
73.62°, I = 36
73.82°, I = 9

---

Entry 8:
The following is a simulated XRD peak list of Sm2CdHg6. It was derived from DFT lattice parameters and positions (PBE), using λ = 1.5418 Å (Cu Kα).
Peak positions follow from Bragg's law for the DFT cell and can differ from measured ones.

Structural model:
```
data_Sm2CdHg6
_chemical_formula_sum 'Sm4 Cd2 Hg12'
_symmetry_space_group_name_H-M 'C 1 2/m 1'
_symmetry_Int_Tables_number 12
_cell_length_a 11.7590
_cell_length_b 6.7547
_cell_length_c 5.7188
_cell_angle_alpha 90.00
_cell_angle_beta 90.24
_cell_angle_gamma 90.00
loop_
_symmetry_equiv_pos_as_xyz
'x,y,z'
'-x,-y,-z'
'-x,y,-z'
'x,-y,z'
'x+1/2,y+1/2,z'
'-x+1/2,-y+1/2,-z'
'-x+1/2,y+1/2,-z'
'x+1/2,-y+1/2,z'
loop_
_atom_site_label
_atom_site_fract_x
_atom_site_fract_y
_atom_site_fract_z
Sm1 0.1662 0.0000 0.1888
Cd1 0.0000 0.5000 0.0000
Hg1 0.0925 0.2236 0.6844
Hg2 0.1853 0.5000 0.3140
```

Largest 10 diffraction maxima, by angle, 2θ from 10° to 80°:
30.55°, I = 18
30.73°, I = 10
31.28°, I = 14
34.24°, I = 10
34.38°, I = 100
34.95°, I = 13
44.09°, I = 9
44.32°, I = 18
54.10°, I = 15
65.86°, I = 9

---

Entry 9:
The following is a simulated XRD peak list of AcReO4F2. It was derived from DFT lattice parameters and positions (PBE), using λ = 1.5418 Å (Cu Kα).
Peak positions follow from Bragg's law for the DFT cell and can differ from measured ones.

Structural model:
```
data_AcReO4F2
_chemical_formula_sum 'Ac1 Re1 O4 F2'
_symmetry_space_group_name_H-M 'P 1'
_symmetry_Int_Tables_number 1
_cell_length_a 4.7819
_cell_length_b 4.8091
_cell_length_c 6.8743
_cell_angle_alpha 73.47
_cell_angle_beta 85.31
_cell_angle_gamma 74.59
loop_
_symmetry_equiv_pos_as_xyz
'x,y,z'
loop_
_atom_site_label
_atom_site_fract_x
_atom_site_fract_y
_atom_site_fract_z
Ac1 0.0000 0.0000 0.0000
Re1 0.5465 0.6801 0.5090
O1 0.3179 0.8292 0.6869
O2 0.3353 0.6192 0.3361
O3 0.7436 0.9345 0.3738
O4 0.7925 0.3454 0.6331
F1 0.4745 0.1007 0.9828
F2 0.9171 0.5087 0.0310
```

Largest 10 diffraction maxima, by angle, 2θ from 10° to 80°:
19.91°, I = 36
20.77°, I = 79
23.48°, I = 79
23.63°, I = 75
23.99°, I = 43
24.64°, I = 31
27.05°, I = 100
31.25°, I = 23
39.12°, I = 26
49.69°, I = 20

---

Entry 10:
The following is a simulated XRD peak list of TbPm2Er12. It was derived from DFT lattice parameters and positions (PBE), using λ = 1.5418 Å (Cu Kα).
Peak positions follow from Bragg's law for the DFT cell and can differ from measured ones.

Structural model:
```
data_TbPm2Er12
_chemical_formula_sum 'Tb1 Pm2 Er12'
_symmetry_space_group_name_H-M 'P -1'
_symmetry_Int_Tables_number 2
_cell_length_a 3.4874
_cell_length_b 5.4953
_cell_length_c 24.6839
_cell_angle_alpha 83.68
_cell_angle_beta 86.05
_cell_angle_gamma 89.99
loop_
_symmetry_equiv_pos_as_xyz
'x,y,z'
'-x,-y,-z'
loop_
_atom_site_label
_atom_site_fract_x
_atom_site_fract_y
_atom_site_fract_z
Tb1 0.0000 0.0000 0.0000
Pm1 0.3669 0.8658 0.2739
Er1 0.0919 0.5932 0.8091
Er2 0.1624 0.6635 0.6673
Er3 0.1955 0.1983 0.5974
Er4 0.2751 0.2730 0.4590
Er5 0.4368 0.9354 0.1328
Er6 0.4679 0.4686 0.0655
```

Largest 10 diffraction maxima, by angle, 2θ from 10° to 80°:
31.24°, I = 86
31.89°, I = 100
32.60°, I = 92
37.68°, I = 16
43.68°, I = 13
46.78°, I = 31
57.30°, I = 20
57.71°, I = 19
62.72°, I = 22
63.15°, I = 15

---

Entry 11:
The following is a simulated XRD peak list of LiAc6Ir4. It was derived from DFT lattice parameters and positions (PBE), using λ = 1.5418 Å (Cu Kα).
Peak positions follow from Bragg's law for the DFT cell and can differ from measured ones.

Structural model:
```
data_LiAc6Ir4
_chemical_formula_sum 'Li2 Ac12 Ir8'
_symmetry_space_group_name_H-M 'C 1 m 1'
_symmetry_Int_Tables_number 8
_cell_length_a 8.6834
_cell_length_b 8.6845
_cell_length_c 9.4962
_cell_angle_alpha 90.00
_cell_angle_beta 117.15
_cell_angle_gamma 90.00
loop_
_symmetry_equiv_pos_as_xyz
'x,y,z'
'x,-y,z'
'x+1/2,y+1/2,z'
'x+1/2,-y+1/2,z'
loop_
_atom_site_label
_atom_site_fract_x
_atom_site_fract_y
_atom_site_fract_z
Li1 0.0000 0.0000 0.0000
Ac1 0.0538 0.5000 0.6446
Ac2 0.0890 0.0000 0.6448
Ac3 0.1799 0.2673 0.3609
Ac4 0.2508 0.2504 0.0030
Ir1 0.3607 0.0000 0.2708
Ir2 0.3667 0.2756 0.7354
Ir3 0.4102 0.5000 0.2709
```

Largest 10 diffraction maxima, by angle, 2θ from 10° to 80°:
23.03°, I = 35
29.08°, I = 64
29.50°, I = 66
30.99°, I = 97
31.77°, I = 44
36.17°, I = 100
38.08°, I = 67
41.60°, I = 75
53.27°, I = 39
57.66°, I = 37

---

Entry 12:
The following is a simulated XRD peak list of CaNiGePd. It was derived from DFT lattice parameters and positions (PBE), using λ = 1.5418 Å (Cu Kα).
Peak positions follow from Bragg's law for the DFT cell and can differ from measured ones.

Structural model:
```
data_CaNiGePd
_chemical_formula_sum 'Ca2 Ni2 Ge2 Pd2'
_symmetry_space_group_name_H-M 'A m m 2'
_symmetry_Int_Tables_number 38
_cell_length_a 4.2169
_cell_length_b 3.6157
_cell_length_c 9.5494
_cell_angle_alpha 90.00
_cell_angle_beta 90.00
_cell_angle_gamma 90.00
loop_
_symmetry_equiv_pos_as_xyz
'x,y,z'
'-x,-y,z'
'-x,y,z'
'x,-y,z'
'x,y+1/2,z+1/2'
'-x,-y+1/2,z+1/2'
'-x,y+1/2,z+1/2'
'x,-y+1/2,z+1/2'
loop_
_atom_site_label
_atom_site_fract_x
_atom_site_fract_y
_atom_site_fract_z
Ca1 0.0000 0.0000 0.0000
Ni1 0.0000 0.0000 0.7301
Ge1 0.5000 0.0000 0.6301
Pd1 0.5000 0.0000 0.3218
```

Largest 10 diffraction maxima, by angle, 2θ from 10° to 80°:
18.58°, I = 33
21.07°, I = 16
33.98°, I = 100
37.65°, I = 71
42.89°, I = 37
43.55°, I = 93
50.48°, I = 23
58.37°, I = 38
68.35°, I = 18
68.84°, I = 22

---

- What is the formula in the twelfth record?
  CaNiGePd